HfAgPb: computed X-ray diffraction stick pattern (Cu Kα X-rays), based on the PBE geometry in OQMD.
Lines closer than 0.1° are merged.

Structural model:
Lattice parameters (Å, degrees): 3.633 3.633 10.023 90.00 90.00 90.00
Positions (direct):
Hf 0.000 0.000 0.000
Hf 0.500 0.500 0.500
Ag 0.000 0.000 0.356
Ag 0.000 0.000 0.644
Pb 0.500 0.500 0.188
Pb 0.500 0.500 0.812

Main lines, most intense first (5° ≤ 2θ ≤ 70°):
Position (°2θ)  I_rel
36.54  100
34.93  63
63.69  40
50.23  23
66.80  12
30.39  10
54.97  6
58.40  5
24.50  5
59.84  3


K2PdO2: computed X-ray diffraction stick pattern (Cu Kα X-rays), based on the PBE geometry in OQMD.
Lines closer than 0.1° are merged.

Structural model:
Lattice parameters (Å, degrees): 5.486 5.486 9.982 90.00 90.00 146.30
Positions (direct):
K 0.096 0.904 0.500
K 0.348 0.652 0.685
K 0.652 0.348 0.185
K 0.904 0.096 0.000
Pd 0.375 0.625 0.354
Pd 0.625 0.375 0.854
O 0.041 0.959 0.755
O 0.204 0.796 0.961
O 0.796 0.204 0.461
O 0.959 0.041 0.255

Main lines, most intense first (5° ≤ 2θ ≤ 70°):
Position (°2θ)  I_rel
31.84  100
19.10  74
17.77  50
39.32  42
30.70  35
34.15  32
34.51  32
40.15  31
47.09  29
59.65  26


NaGePt3: computed X-ray diffraction stick pattern (Cu Kα X-rays), based on the PBE geometry in OQMD.
Lines closer than 0.1° are merged.

Structural model:
Lattice parameters (Å, degrees): 5.601 5.601 6.549 90.00 90.00 120.00
Positions (direct):
Na 0.000 0.000 0.000
Na 0.000 0.000 0.500
Ge 0.333 0.667 0.000
Ge 0.667 0.333 0.000
Pt 0.000 0.500 0.290
Pt 0.000 0.500 0.710
Pt 0.500 0.000 0.290
Pt 0.500 0.000 0.710
Pt 0.500 0.500 0.290
Pt 0.500 0.500 0.710

Main lines, most intense first (5° ≤ 2θ ≤ 70°):
Position (°2θ)  I_rel
37.06  100
46.60  90
18.29  77
27.24  38
42.47  31
66.80  26
56.74  24
33.01  21
39.62  17
41.36  17